Record 1
Theoretical X-ray diffraction stick pattern of CuTe for Cu Kα X-rays, from a DFT-relaxed cell (PBE, the Materials Project).
Intensities are scaled so that the largest is 100.

Cell and atoms:
```
CuTe
1.0
3.634 0.000 0.000
0.000 14.474 0.000
0.000 0.000 6.981
Cu Te
2 2
direct
0.250 0.250 0.006
0.750 0.750 0.994
0.250 0.750 0.767
0.750 0.250 0.233
```

Principal peaks in the range 2θ from 10° to 90°, by intensity:
2θ (°)	intensity
12.23	100
14.09	62
36.22	28
22.40	21
40.42	21
24.60	20
30.35	18
37.33	17
27.70	17
12.68	17
17.65	16
47.89	12

Record 2
Theoretical X-ray diffraction stick pattern of Li6Zn3P4S16 for Cu Kα X-rays, from a DFT-relaxed cell (PBE, the Materials Project).
Intensities are scaled so that the largest is 100.

Cell and atoms:
```
Li6Zn3P4S16
1.0
5.796 0.000 0.000
0.000 9.244 0.000
-0.024 0.000 23.151
Li Zn P S
12 6 8 32
direct
0.248 0.000 0.437
0.249 0.495 0.187
0.250 0.496 0.937
0.250 0.499 0.688
0.251 0.494 0.438
0.252 0.248 0.560
0.748 0.748 0.440
0.749 0.994 0.562
0.750 0.996 0.063
0.750 0.999 0.312
0.751 0.995 0.813
0.752 0.500 0.563
0.250 0.996 0.937
0.250 0.997 0.187
0.254 0.991 0.688
0.746 0.491 0.312
0.750 0.496 0.063
0.750 0.497 0.813
0.243 0.745 0.562
0.250 0.746 0.063
0.250 0.746 0.813
0.258 0.747 0.312
0.742 0.247 0.688
0.750 0.246 0.187
0.750 0.246 0.937
0.757 0.245 0.438
0.027 0.631 0.865
0.027 0.632 0.115
0.031 0.627 0.364
0.039 0.626 0.615
0.039 0.870 0.509
0.041 0.861 0.007
0.041 0.861 0.757
0.045 0.861 0.258
0.458 0.867 0.616
0.459 0.861 0.118
0.459 0.861 0.868
0.461 0.865 0.367
0.463 0.627 0.510
0.470 0.626 0.260
0.473 0.632 0.010
0.473 0.632 0.760
0.527 0.132 0.240
0.527 0.132 0.990
0.530 0.126 0.740
0.537 0.127 0.490
0.539 0.365 0.633
0.541 0.361 0.132
0.541 0.361 0.882
0.542 0.367 0.384
0.955 0.361 0.742
0.959 0.361 0.243
0.959 0.361 0.993
0.961 0.126 0.385
0.961 0.370 0.491
0.969 0.127 0.636
0.973 0.131 0.135
0.973 0.132 0.885
```

Principal peaks in the range 2θ from 10° to 90°, by intensity:
2θ (°)	intensity
29.13	100
18.07	75
53.84	23
50.51	17
36.01	17
50.54	17
45.76	15
44.21	12
44.26	12
58.31	9
64.64	8
81.67	7

Record 3
Theoretical X-ray diffraction stick pattern of Cs2Pr10Ru2I17 for Cu Kα X-rays, from a DFT-relaxed cell (PBE, the Materials Project).
Intensities are scaled so that the largest is 100.

Cell and atoms:
```
Cs2Pr10Ru2I17
1.0
6.983 -9.508 0.000
6.983 9.508 0.000
-1.109 0.000 10.130
Cs Pr Ru I
2 10 2 17
direct
0.174 0.826 0.000
0.826 0.174 0.000
0.171 0.171 0.444
0.210 0.505 0.572
0.293 0.293 0.819
0.435 0.435 0.312
0.495 0.790 0.428
0.505 0.210 0.572
0.565 0.565 0.688
0.707 0.707 0.181
0.790 0.495 0.428
0.829 0.829 0.556
0.360 0.360 0.569
0.640 0.640 0.431
0.026 0.689 0.579
0.064 0.064 0.716
0.117 0.450 0.859
0.212 0.212 0.133
0.254 0.600 0.277
0.311 0.974 0.421
0.400 0.746 0.723
0.450 0.117 0.859
0.500 0.500 0.000
0.550 0.883 0.141
0.600 0.254 0.277
0.689 0.026 0.579
0.746 0.400 0.723
0.788 0.788 0.867
0.883 0.550 0.141
0.936 0.936 0.284
0.974 0.311 0.421
```

Principal peaks in the range 2θ from 10° to 90°, by intensity:
2θ (°)	intensity
28.08	100
28.15	49
40.17	35
40.20	35
23.88	22
65.84	19
39.17	19
48.93	18
50.55	17
41.08	17
24.66	16
74.25	9

Record 4
Theoretical X-ray diffraction stick pattern of La3Ti2N3O4 for Cu Kα X-rays, from a DFT-relaxed cell (PBE, the Materials Project).
Intensities are scaled so that the largest is 100.

Cell and atoms:
```
La3Ti2N3O4
1.0
-1.977 1.977 10.382
1.977 -1.977 10.382
1.977 1.977 -10.382
La Ti N O
3 2 3 4
direct
0.000 0.000 0.000
0.182 0.182 0.000
0.818 0.818 0.000
0.407 0.407 0.000
0.593 0.593 0.000
0.100 0.600 0.500
0.400 0.900 0.500
0.500 0.500 0.000
0.295 0.295 0.000
0.605 0.105 0.500
0.705 0.705 0.000
0.895 0.395 0.500
```

Principal peaks in the range 2θ from 10° to 90°, by intensity:
2θ (°)	intensity
31.23	100
32.00	66
56.56	38
45.89	36
41.52	31
22.89	26
25.74	14
55.09	12
53.81	12
65.14	12
81.88	12
43.59	11

Record 5
Theoretical X-ray diffraction stick pattern of Cu4AsClO6 for Cu Kα X-rays, from a DFT-relaxed cell (PBE, the Materials Project).
Intensities are scaled so that the largest is 100.

Cell and atoms:
```
Cu4AsClO6
1.0
5.504 0.000 0.000
0.000 11.333 0.000
0.000 0.000 10.306
Cu As Cl O
16 4 4 24
direct
0.033 0.147 0.250
0.033 0.353 0.750
0.145 0.087 0.750
0.145 0.413 0.250
0.235 0.553 0.544
0.235 0.553 0.956
0.235 0.947 0.044
0.235 0.947 0.456
0.765 0.053 0.544
0.765 0.053 0.956
0.765 0.447 0.044
0.765 0.447 0.456
0.855 0.587 0.750
0.855 0.913 0.250
0.967 0.647 0.250
0.967 0.853 0.750
0.325 0.250 0.000
0.325 0.250 0.500
0.675 0.750 0.000
0.675 0.750 0.500
0.381 0.599 0.750
0.381 0.901 0.250
0.619 0.099 0.750
0.619 0.401 0.250
0.046 0.530 0.119
0.046 0.530 0.381
0.046 0.970 0.619
0.046 0.970 0.881
0.123 0.224 0.629
0.123 0.224 0.871
0.123 0.276 0.129
0.123 0.276 0.371
0.486 0.125 0.039
0.486 0.125 0.461
0.486 0.375 0.539
0.486 0.375 0.961
0.514 0.625 0.039
0.514 0.625 0.461
0.514 0.875 0.539
0.514 0.875 0.961
0.877 0.724 0.629
0.877 0.724 0.871
0.877 0.776 0.129
0.877 0.776 0.371
0.954 0.030 0.119
0.954 0.030 0.381
0.954 0.470 0.619
0.954 0.470 0.881
```

Principal peaks in the range 2θ from 10° to 90°, by intensity:
2θ (°)	intensity
33.62	100
28.66	57
23.65	57
17.90	45
36.18	41
37.90	41
34.82	40
31.70	32
37.03	30
34.63	27
16.10	27
37.36	23

Record 6
Theoretical X-ray diffraction stick pattern of Te2Pd3 for Cu Kα X-rays, from a DFT-relaxed cell (PBE, the Materials Project).
Intensities are scaled so that the largest is 100.

Cell and atoms:
```
Te2Pd3
1.0
1.961 -6.419 0.000
1.961 6.419 0.000
0.000 0.000 8.064
Te Pd
4 6
direct
0.000 0.000 0.000
0.000 0.000 0.500
0.258 0.742 0.750
0.742 0.258 0.250
0.338 0.662 0.066
0.338 0.662 0.434
0.465 0.535 0.750
0.535 0.465 0.250
0.662 0.338 0.566
0.662 0.338 0.934
```

Principal peaks in the range 2θ from 10° to 90°, by intensity:
2θ (°)	intensity
38.31	100
41.32	74
30.93	58
43.60	54
46.30	42
32.61	35
36.23	30
48.14	29
69.01	20
73.42	19
27.80	18
53.69	18

Record 7
Theoretical X-ray diffraction stick pattern of Na5Bi2AsC4O16 for Cu Kα X-rays, from a DFT-relaxed cell (PBE, the Materials Project).
Intensities are scaled so that the largest is 100.

Cell and atoms:
```
Na5Bi2AsC4O16
1.0
0.000 7.382 7.514
7.348 0.000 7.514
7.348 7.382 0.000
Na Bi As C O
10 4 2 8 32
direct
0.000 0.000 0.000
0.250 0.250 0.250
0.258 0.859 0.251
0.259 0.860 0.631
0.618 0.999 0.391
0.619 0.999 0.991
0.859 0.258 0.632
0.860 0.259 0.251
0.999 0.618 0.992
0.999 0.619 0.390
0.433 0.435 0.811
0.435 0.433 0.322
0.439 0.928 0.817
0.928 0.439 0.815
0.057 0.057 0.443
0.807 0.807 0.193
0.206 0.594 0.601
0.210 0.211 0.981
0.211 0.210 0.597
0.269 0.653 0.040
0.594 0.206 0.598
0.649 0.652 0.044
0.652 0.649 0.656
0.653 0.269 0.039
0.079 0.328 0.610
0.081 0.226 0.980
0.083 0.582 0.725
0.215 0.598 0.470
0.223 0.327 0.984
0.226 0.081 0.714
0.260 0.990 0.374
0.266 0.784 0.027
0.267 0.640 0.922
0.270 0.536 0.169
0.320 0.603 0.610
0.327 0.223 0.466
0.328 0.079 0.983
0.525 0.640 0.167
0.533 0.780 0.652
0.536 0.270 0.024
0.582 0.083 0.610
0.598 0.215 0.717
0.603 0.320 0.467
0.606 0.891 0.251
0.640 0.267 0.171
0.640 0.525 0.668
0.640 0.783 0.930
0.780 0.533 0.035
0.783 0.640 0.647
0.784 0.266 0.923
0.875 0.876 0.260
0.876 0.875 0.990
0.891 0.606 0.252
0.990 0.260 0.375
0.998 0.999 0.359
0.999 0.998 0.644
```

Principal peaks in the range 2θ from 10° to 90°, by intensity:
2θ (°)	intensity
19.96	100
20.75	73
10.33	67
19.67	61
34.09	60
39.95	35
31.47	30
31.60	30
30.97	30
34.44	28
40.48	22
40.62	21